Entry 1:
For NdCuAg2S4, a crystal structure in Alexandria, relaxed with GGA-PBE gives the calculated X-ray powder pattern in this record (Cu Ka).
Intensities are scaled so that the largest is 100.

Top 10 peaks for 2θ from 10° to 80°, most intense first:
two_theta  I_rel
31.2  100.0
27.6  90.1
33.7  63.0
43.6  57.4
25.3  50.8
26.8  45.9
47.9  43.6
46.0  38.3
54.1  30.9
46.7  30.6

Structural model:
```
NdCuAg2S4
1.0
1.974 -6.647 0.000
1.974 6.647 0.000
0.000 0.000 12.423
Nd Cu Ag S
2 2 4 8
Direct
0.086 0.914 0.750 Nd
0.914 0.086 0.250 Nd
0.174 0.826 0.250 Cu
0.826 0.174 0.750 Cu
0.375 0.625 0.554 Ag
0.375 0.625 0.946 Ag
0.625 0.375 0.054 Ag
0.625 0.375 0.446 Ag
0.000 0.000 0.000 S
0.000 0.000 0.500 S
0.307 0.693 0.129 S
0.307 0.693 0.371 S
0.423 0.577 0.750 S
0.577 0.423 0.250 S
0.693 0.307 0.629 S
0.693 0.307 0.871 S
```


Entry 2:
For LiU4Se6, a crystal structure in Alexandria, relaxed with GGA-PBE gives the calculated X-ray powder pattern in this record (Cu Ka).
Intensities are scaled so that the largest is 100.

Top 10 peaks for 2θ from 10° to 80°, most intense first:
two_theta  I_rel
33.6  100.0
37.4  89.0
25.1  72.8
22.3  64.3
27.3  64.3
42.3  56.5
32.0  46.4
27.4  45.9
35.8  39.9
68.3  39.9

Structural model:
```
LiU4Se6
1.0
5.664 3.270 4.540
-5.664 3.270 4.540
0.000 -6.541 4.540
Li U Se
2 8 12
Direct
0.000 0.000 0.000 Li
0.500 0.500 0.500 Li
0.138 0.750 0.362 U
0.250 0.250 0.250 U
0.250 0.638 0.862 U
0.362 0.138 0.750 U
0.638 0.862 0.250 U
0.750 0.362 0.138 U
0.750 0.750 0.750 U
0.862 0.250 0.638 U
0.060 0.921 0.686 Se
0.079 0.314 0.940 Se
0.186 0.421 0.560 Se
0.314 0.940 0.079 Se
0.421 0.560 0.186 Se
0.440 0.814 0.579 Se
0.560 0.186 0.421 Se
0.579 0.440 0.814 Se
0.686 0.060 0.921 Se
0.814 0.579 0.440 Se
0.921 0.686 0.060 Se
0.940 0.079 0.314 Se
```


Entry 3:
For Pm5HoTl6, a crystal structure in Alexandria, relaxed with GGA-PBE gives the calculated X-ray powder pattern in this record (Cu Ka).
Intensities are scaled so that the largest is 100.

Top 10 peaks for 2θ from 10° to 80°, most intense first:
two_theta  I_rel
32.8  100.0
32.8  49.6
58.5  28.9
58.6  23.9
47.0  18.5
78.1  12.5
47.2  9.1
78.5  8.1
68.6  6.0
68.7  5.9

Structural model:
```
Pm5HoTl6
1.0
4.719 -8.210 0.000
4.719 8.210 0.000
-3.158 0.000 4.464
Pm Ho Tl
5 1 6
Direct
0.000 0.000 0.000 Pm
0.166 0.834 0.500 Pm
0.330 0.670 0.000 Pm
0.670 0.330 0.000 Pm
0.834 0.166 0.500 Pm
0.500 0.500 0.500 Ho
0.090 0.418 0.254 Tl
0.258 0.258 0.758 Tl
0.418 0.090 0.254 Tl
0.582 0.910 0.746 Tl
0.742 0.742 0.242 Tl
0.910 0.582 0.746 Tl
```


Entry 4:
For Tb3Ce4Si4, a crystal structure in Alexandria, relaxed with GGA-PBE gives the calculated X-ray powder pattern in this record (Cu Ka).
Intensities are scaled so that the largest is 100.

Top 10 peaks for 2θ from 10° to 80°, most intense first:
two_theta  I_rel
32.4  100.0
35.1  80.9
33.5  80.9
28.7  77.2
27.8  75.1
51.4  70.4
35.5  40.3
26.2  35.7
49.2  32.2
23.2  31.3

Structural model:
```
Tb3Ce4Si4
1.0
-1.851 4.274 8.650
1.851 -4.274 8.650
1.851 4.274 -8.650
Tb Ce Si
3 4 4
Direct
0.000 0.000 0.000 Tb
0.406 0.906 0.500 Tb
0.594 0.094 0.500 Tb
0.008 0.671 0.337 Ce
0.334 0.671 0.663 Ce
0.666 0.329 0.337 Ce
0.992 0.329 0.663 Ce
0.277 0.500 0.777 Si
0.278 0.278 0.000 Si
0.722 0.722 0.000 Si
0.723 0.500 0.223 Si
```